Diffraction record for CaTlHg. The powder X-ray diffraction pattern is computed, not measured: it uses a cell relaxed with PBE and a wavelength of 1.5418 Å.
No peak broadening, texture or thermal motion is included.

Top 10 peaks for 5 to 70 degrees two-theta, in order of rising 2θ:
hkl, d (Å), Rel. int.
1 0 0, 4.451, 487
0 0 1, 3.608, 518
1 0 1, 2.803, 761
1 1 0, 2.570, 1000
1 1 1, 2.093, 737
2 0 1, 1.894, 244
2 1 1, 1.525, 241
3 0 0, 1.484, 186
1 1 2, 1.476, 366
3 0 1, 1.372, 197

Structure:
a = 5.140 Å, b = 5.140 Å, c = 3.608 Å
α = 90.00°, β = 90.00°, γ = 120.00°
Sites, in units of the cell vectors:
1 Ca 0.000 0.000 0.000
2 Tl 0.333 0.667 0.500
3 Hg 0.667 0.333 0.500